The following is a simulated powder diffractogram of Na5LiN2. It was derived from the PBE geometry in the Materials Project, using λ = 1.5418 Å (Cu Kα).
Neutral-atom scattering factors, no anomalous dispersion.

Most intense lines, 10 to 90 degrees two-theta, by angle:
(1 0 0), 20.2°, intensity 96; (1 0 -2), 30.8°, intensity 40; (1 1 1), 31.0°, intensity 70; (0 2 0), 40.5°, intensity 50; (0 1 3), 40.7°, intensity 100; (1 2 0), 45.7°, intensity 36

Atomic structure:
```
Na5LiN2
1.0
4.3883 0.0000 0.0000
0.0000 4.4499 0.0000
-0.0641 0.0000 7.6778
Na Li N
5 1 2
Direct
0.0000 0.0000 0.0000 Na
0.4083 0.0000 0.6673 Na
0.4166 0.5000 0.1686 Na
0.5834 0.5000 0.8314 Na
0.5917 0.0000 0.3327 Na
0.0000 0.5000 0.5000 Li
0.5000 0.0000 0.0000 N
0.5000 0.5000 0.5000 N
```